Structure and calculated X-ray powder pattern of Pa4Co5Rh2 (a crystal structure in Alexandria, relaxed with GGA-PBE; λ = 1.5418 Å (Cu Kα)).

Top 12 peaks for 10 to 80 degrees two-theta, in order of falling intensity:
d_spacing  Position (°2θ)  I/Imax
2.598  34.52  100
2.399  37.49  65
3.176  28.09  61
4.039  22.01  58
2.114  42.78  44
1.826  49.94  36
3.193  27.95  29
1.595  57.81  27
1.818  50.18  25
1.288  73.50  23
1.899  47.91  22
2.392  37.60  21

```
11
Lattice="0.0000 6.3856 7.2723 2.2263 0.0000 7.2723 2.2263 6.3856 0.0000" Properties=species:S:1:pos:R:3 pbc="T T T"
Pa 2.2263 1.7212 5.4050
Pa 2.2263 1.7212 9.1397
Pa 2.2263 11.0499 5.4050
Pa 2.2263 11.0499 9.1397
Co 0.0000 0.0000 0.0000
Co 1.1131 0.0000 3.6362
Co 1.1131 3.1928 3.6362
Co 1.1131 6.3856 3.6362
Co 3.3394 9.5784 10.9085
Rh 2.2263 4.3204 7.2723
Rh 2.2263 8.4508 7.2723
```